Entry 1:
# Pm5Pr2YIn
Simulated XRD peak list, Cu Kα, 1.54184 Å. Input: a structure optimized by DFT (PBE).
Intensities are scaled so that the largest is 100.

Crystal structure
```
data_Pm5Pr2YIn
_cell_length_a 5.551
_cell_length_b 20.115
_cell_length_c 10.944
_cell_angle_alpha 90.00
_cell_angle_beta 90.00
_cell_angle_gamma 90.00
_space_group_name_H-M_alt 'C m c m'
_space_group_IT_number 63
_space_group_name_Hall '-C 2c 2'
loop_
_atom_site_label
_atom_site_type_symbol
_atom_site_fract_x
_atom_site_fract_y
_atom_site_fract_z
_atom_site_occupancy
Pm1 Pm 0.000 0.000 0.000 1
Pm2 Pm 0.000 0.117 0.250 1
Pm3 Pm 0.000 0.209 0.550 1
Pm4 Pm 0.000 0.486 0.250 1
Pr1 Pr 0.000 0.383 0.546 1
Y1 Y 0.000 0.299 0.250 1
In1 In 0.000 0.094 0.750 1
```

Top 8 peaks for 2θ = 10–80°, most intense first:
d [Å], I/Imax, h k l
2.799, 100, 1 5 2
2.775, 34, 2 0 0
3.014, 29, 1 1 3
1.607, 19, 3 5 2
2.736, 16, 0 0 4
3.369, 14, 1 3 2
3.205, 12, 0 6 1
1.948, 12, 2 0 4

=====

Entry 2:
# PmInPt5
Simulated XRD peak list, Cu Kα, 1.54184 Å. Input: a structure optimized by DFT (PBE).
Intensities are scaled so that the largest is 100.

Crystal structure
```
data_PmInPt5
_cell_length_a 8.897
_cell_length_b 5.345
_cell_length_c 11.101
_cell_angle_alpha 90.00
_cell_angle_beta 90.00
_cell_angle_gamma 90.00
_space_group_name_H-M_alt 'P n m a'
_space_group_IT_number 62
_space_group_name_Hall '-P 2ac 2n'
loop_
_atom_site_label
_atom_site_type_symbol
_atom_site_fract_x
_atom_site_fract_y
_atom_site_fract_z
_atom_site_occupancy
Pm1 Pm 0.250 0.250 0.063 1
In1 In 0.146 0.250 0.360 1
Pt1 Pt 0.036 0.250 0.583 1
Pt2 Pt 0.066 0.505 0.798 1
Pt3 Pt 0.086 0.750 0.011 1
Pt4 Pt 0.190 0.750 0.241 1
```

Top 8 peaks for 2θ = 10–80°, most intense first:
d [Å], I/Imax, h k l
2.155, 100, 1 0 5
2.511, 82, 2 1 3
2.525, 74, 3 1 1
2.244, 53, 2 2 1
2.181, 52, 4 0 1
2.105, 50, 1 2 3
2.118, 40, 2 2 2
2.408, 37, 0 2 2

=====

Entry 3:
# Pm3In2Pt4
Simulated XRD peak list, Cu Kα, 1.54184 Å. Input: a structure optimized by DFT (PBE).
Intensities are scaled so that the largest is 100.

Crystal structure
```
data_Pm3In2Pt4
_cell_length_a 10.101
_cell_length_b 4.515
_cell_length_c 9.116
_cell_angle_alpha 90.00
_cell_angle_beta 94.02
_cell_angle_gamma 90.00
_space_group_name_H-M_alt 'C 1 2/m 1'
_space_group_IT_number 12
_space_group_name_Hall '-C 2y'
loop_
_atom_site_label
_atom_site_type_symbol
_atom_site_fract_x
_atom_site_fract_y
_atom_site_fract_z
_atom_site_occupancy
Pm1 Pm 0.000 0.000 0.000 1
Pm2 Pm 0.125 0.500 0.387 1
In1 In 0.177 0.500 0.783 1
Pt1 Pt 0.082 0.000 0.626 1
Pt2 Pt 0.206 0.500 0.088 1
```

Top 8 peaks for 2θ = 10–80°, most intense first:
d [Å], I/Imax, h k l
2.409, 100, 1 1 3
2.695, 74, 3 1 0
2.258, 61, 0 2 0
2.378, 55, 3 1 -2
4.544, 35, 2 0 -1
2.263, 30, 3 1 2
2.682, 28, 2 0 -3
2.545, 28, 3 1 1

=====

Entry 4:
# Pm3InPt2
Simulated XRD peak list, Cu Kα, 1.54184 Å. Input: a structure optimized by DFT (PBE).
Intensities are scaled so that the largest is 100.

Crystal structure
```
data_Pm3InPt2
_cell_length_a 7.6349
_cell_length_b 7.6349
_cell_length_c 19.8517
_cell_angle_alpha 90.00
_cell_angle_beta 90.00
_cell_angle_gamma 120.00
_space_group_name_H-M_alt 'R -3 c'
_space_group_IT_number 167
_space_group_name_Hall '-R 3 2"c'
loop_
_atom_site_label
_atom_site_type_symbol
_atom_site_fract_x
_atom_site_fract_y
_atom_site_fract_z
_atom_site_occupancy
Pm1 Pm 0.0000 0.2795 0.2500 1
In1 In 0.0000 0.0000 0.0000 1
Pt1 Pt 0.0000 0.0000 0.1439 1
```

Top 8 peaks for 2θ = 10–80°, most intense first:
d [Å], I/Imax, h k l
2.500, 100, 1 1 6
3.307, 80, 1 1 3
2.204, 72, 3 0 0
3.817, 46, 1 1 0
1.653, 30, 2 2 6
2.751, 25, 0 2 4
1.909, 25, 1 1 9
2.323, 24, 0 1 8

=====

Entry 5:
# Pm4In5Pt6
Simulated XRD peak list, Cu Kα, 1.54184 Å. Input: a structure optimized by DFT (PBE).
Intensities are scaled so that the largest is 100.

Crystal structure
```
data_Pm4In5Pt6
_cell_length_a 4.162
_cell_length_b 21.839
_cell_length_c 15.005
_cell_angle_alpha 90.00
_cell_angle_beta 90.00
_cell_angle_gamma 90.00
_space_group_name_H-M_alt 'C m c 21'
_space_group_IT_number 36
_space_group_name_Hall 'C 2c -2'
loop_
_atom_site_label
_atom_site_type_symbol
_atom_site_fract_x
_atom_site_fract_y
_atom_site_fract_z
_atom_site_occupancy
Pm1 Pm 0.000 0.024 0.000 1
Pm2 Pm 0.000 0.056 0.272 1
Pm3 Pm 0.000 0.133 0.780 1
Pm4 Pm 0.000 0.177 0.443 1
In1 In 0.000 0.178 0.111 1
In2 In 0.000 0.316 0.115 1
In3 In 0.000 0.317 0.772 1
In4 In 0.000 0.353 0.451 1
In5 In 0.000 0.468 0.158 1
Pt1 Pt 0.000 0.098 0.593 1
Pt2 Pt 0.000 0.228 0.940 1
Pt3 Pt 0.000 0.265 0.288 1
Pt4 Pt 0.000 0.406 0.625 1
Pt5 Pt 0.000 0.421 0.929 1
Pt6 Pt 0.000 0.461 0.348 1
```

Top 8 peaks for 2θ = 10–80°, most intense first:
d [Å], I/Imax, h k l
2.581, 100, 1 5 3
2.081, 53, 2 0 0
2.234, 45, 1 7 3
2.501, 38, 0 0 6
2.764, 37, 1 1 4
2.796, 37, 1 5 2
2.463, 28, 1 7 1
2.349, 27, 1 5 4

=====

Entry 6:
# Pm7In2Pt
Simulated XRD peak list, Cu Kα, 1.54184 Å. Input: a structure optimized by DFT (PBE).
Intensities are scaled so that the largest is 100.

Crystal structure
```
data_Pm7In2Pt
_cell_length_a 11.140
_cell_length_b 11.140
_cell_length_c 11.140
_cell_angle_alpha 90.00
_cell_angle_beta 90.00
_cell_angle_gamma 90.00
_space_group_name_H-M_alt 'F m -3 m'
_space_group_IT_number 225
_space_group_name_Hall '-F 4 2 3'
loop_
_atom_site_label
_atom_site_type_symbol
_atom_site_fract_x
_atom_site_fract_y
_atom_site_fract_z
_atom_site_occupancy
Pm1 Pm 0.000 0.000 0.000 1
Pm2 Pm 0.000 0.000 0.254 1
In1 In 0.250 0.250 0.250 1
Pt1 Pt 0.000 0.000 0.500 1
```

Top 8 peaks for 2θ = 10–80°, most intense first:
d [Å], I/Imax, h k l
2.785, 100, 4 0 0
1.969, 73, 4 4 0
3.216, 56, 2 2 2
5.570, 41, 2 0 0
1.246, 32, 8 4 0
1.608, 25, 4 4 4
1.679, 25, 6 2 2
2.491, 22, 4 2 0